Entry 1:
Starting from the PBE geometry in Alexandria, the X-ray diffraction stick pattern of Er4Bi2C was calculated for Cu Kα.
No peak broadening, texture or thermal motion is included.

Crystal structure
Cell: 6.946 6.704 8.749 Å, 90.00 108.34 90.00°
Space group P2_1/m (No. 11)
Asymmetric unit:
Er: 0.005 0.002 0.272 x4
Er: 0.372 0.750 0.062 x2
Er: 0.408 0.750 0.637 x2
Bi: 0.225 0.250 0.047 x2
Bi: 0.291 0.250 0.578 x2
C: 0.212 0.750 0.798 x2

Main lines, in order of falling intensity (5° ≤ 2θ ≤ 70°):
2θ/deg  intensity  h k l
28.79  100.0  2 0 -2
34.38  79.8  1 2 -2
29.90  42.6  1 2 0
31.80  35.1  2 1 -2
38.29  26.6  2 2 0
63.05  22.1  2 4 -2
41.28  22.0  1 0 -4
54.78  20.1  0 4 0
57.57  15.7  3 2 -4
43.33  15.6  3 1 0
26.59  14.3  0 2 0
51.80  11.8  2 2 -4

---

Entry 2:
Starting from the PBE geometry in Alexandria, the X-ray diffraction stick pattern of Na7Cd5 was calculated for Cu Kα.
No peak broadening, texture or thermal motion is included.

Crystal structure
Cell: 11.293 5.362 11.755 Å, 90.00 110.06 90.00°
Space group C2/m (No. 12)
Asymmetric unit:
Na: 0.000 0.000 0.000 x2
Na: 0.085 0.000 0.757 x4
Na: 0.094 0.500 0.210 x4
Na: 0.169 0.000 0.509 x4
Cd: 0.000 0.500 0.500 x2
Cd: 0.196 0.500 0.958 x4
Cd: 0.232 0.500 0.716 x4

Main lines, in order of falling intensity (5° ≤ 2θ ≤ 70°):
2θ/deg  intensity  h k l
33.59  100.0  3 1 1
33.02  60.7  3 1 -3
19.04  58.8  1 1 -1
33.42  57.3  0 2 0
15.86  47.3  2 0 -1
24.24  40.7  2 0 -3
16.71  34.3  2 0 0
32.43  30.7  0 0 4
40.16  30.7  1 1 4
18.54  24.7  1 1 0
21.35  22.3  1 1 1
47.27  22.3  0 2 4

---

Entry 3:
Starting from the PBE geometry in Alexandria, the X-ray diffraction stick pattern of CsZn2Pd was calculated for Cu Kα.
No peak broadening, texture or thermal motion is included.

Crystal structure
Cell: 7.544 7.544 7.544 Å, 90.00 90.00 90.00°
Space group Fm-3m (No. 225)
Asymmetric unit:
Cs: 0.000 0.000 0.000 x4
Zn: 0.250 0.250 0.250 x8
Pd: 0.000 0.000 0.500 x4

Main lines, in order of falling intensity (5° ≤ 2θ ≤ 70°):
2θ/deg  intensity  h k l
33.60  100.0  2 2 0
60.08  36.0  4 2 2
48.25  17.7  4 0 0
23.59  7.8  2 0 0
54.39  3.2  4 2 0
41.46  2.3  2 2 2
20.39  0.7  1 1 1

---

Entry 4:
Starting from the PBE geometry in Alexandria, the X-ray diffraction stick pattern of GaPdPt5 was calculated for Cu Kα.
No peak broadening, texture or thermal motion is included.

Crystal structure
Cell: 9.029 5.402 4.861 Å, 90.00 90.19 90.00°
Space group Cm (No. 8)
Asymmetric unit:
Ga: 0.000 0.000 0.000 x2
Pd: 0.000 0.000 0.496 x2
Pt: 0.000 0.500 0.160 x2
Pt: 0.238 0.500 0.808 x2
Pt: 0.250 0.250 0.311 x4
Pt: 0.261 0.000 0.808 x2

Main lines, in order of falling intensity (5° ≤ 2θ ≤ 70°):
2θ/deg  intensity  h k l
43.24  100.0  2 2 1
39.94  48.7  4 0 0
38.11  37.1  0 2 1
19.67  34.2  2 0 0
42.16  30.1  2 0 -2
42.29  29.8  2 0 2
26.57  17.8  1 1 1
38.87  17.4  2 2 0
67.39  16.4  0 2 3
36.98  16.0  0 0 2
41.97  14.2  1 1 2
56.34  11.6  4 2 -1

---

Entry 5:
Starting from the PBE geometry in Alexandria, the X-ray diffraction stick pattern of Pa2PdCl8 was calculated for Cu Kα.
No peak broadening, texture or thermal motion is included.

Crystal structure
Cell: 14.240 11.471 5.507 Å, 90.00 112.14 90.00°
Space group C2/m (No. 12)
Asymmetric unit:
Pa: 0.151 0.000 0.148 x4
Pd: 0.000 0.000 0.500 x2
Cl: 0.133 0.218 0.133 x8
Cl: 0.160 0.500 0.668 x4
Cl: 0.175 0.000 0.671 x4

Main lines, in order of falling intensity (5° ≤ 2θ ≤ 70°):
2θ/deg  intensity  h k l
10.22  100.0  1 1 0
15.45  44.7  0 2 0
32.49  28.9  2 0 -2
17.87  26.8  1 1 -1
31.19  16.7  0 4 0
21.65  14.9  3 1 0
41.07  13.1  6 0 0
45.68  12.5  2 4 -2
32.75  12.0  5 1 -1
36.19  11.3  2 2 -2
25.80  10.7  2 0 1
26.07  10.7  4 0 -1

---

Entry 6:
Starting from the PBE geometry in Alexandria, the X-ray diffraction stick pattern of NaSr12Ca2 was calculated for Cu Kα.
No peak broadening, texture or thermal motion is included.

Crystal structure
Cell: 7.668 7.668 29.107 Å, 90.00 90.00 90.00°
Space group P4/nbm (No. 125, origin choice 2)
Asymmetric unit:
Na: 0.250 0.750 0.000 x2
Sr: 0.005 0.505 0.090 x8
Sr: 0.072 0.572 0.563 x8
Sr: 0.250 0.250 0.200 x4
Sr: 0.250 0.250 0.333 x4
Ca: 0.250 0.750 0.270 x4

Main lines, in order of falling intensity (5° ≤ 2θ ≤ 70°):
2θ/deg  intensity  h k l
24.00  100.0  2 0 2
29.70  78.7  2 0 6
33.04  56.0  2 2 0
27.59  38.1  0 0 9
27.02  30.6  1 1 7
17.45  29.2  1 1 2
24.62  27.0  1 1 6
28.78  25.4  2 1 4
52.88  24.0  2 0 15
24.47  23.0  0 0 8
44.92  21.8  3 1 8
18.29  21.7  0 0 6

---

Entry 7:
Starting from the PBE geometry in Alexandria, the X-ray diffraction stick pattern of SrLaInO4 was calculated for Cu Kα.
No peak broadening, texture or thermal motion is included.

Crystal structure
Cell: 12.564 6.053 5.923 Å, 90.00 90.00 90.00°
Space group Pca2_1 (No. 29)
Asymmetric unit:
Sr: 0.149 0.200 0.000 x4
La: 0.147 0.687 0.520 x4
In: 0.000 0.246 0.511 x4
O: 0.032 0.458 0.217 x4
O: 0.036 0.948 0.314 x4
O: 0.170 0.306 0.594 x4
O: 0.175 0.779 0.909 x4

Main lines, in order of falling intensity (5° ≤ 2θ ≤ 70°):
2θ/deg  intensity  h k l
30.01  100.0  3 1 1
30.18  32.6  0 0 2
29.52  26.5  0 2 0
53.50  24.7  3 1 3
42.72  23.3  0 2 2
49.91  13.3  2 3 1
43.20  12.1  6 0 0
25.37  12.0  2 1 1
41.81  10.9  5 1 1
52.68  10.3  3 3 1
53.60  10.0  6 0 2
62.38  9.9  6 2 2

---

Entry 8:
Starting from the PBE geometry in Alexandria, the X-ray diffraction stick pattern of Tb3NpRu8 was calculated for Cu Kα.
No peak broadening, texture or thermal motion is included.

Crystal structure
Cell: 5.3280 5.3280 26.1964 Å, 90.00 90.00 120.00°
Space group R3m (No. 160, hexagonal axes)
Asymmetric unit:
Tb: 0.0000 0.0000 0.0000 x3
Tb: 0.0000 0.0000 0.1247 x3
Tb: 0.0000 0.0000 0.6249 x3
Np: 0.0000 0.0000 0.4998 x3
Ru: 0.0000 0.0000 0.3122 x3
Ru: 0.0000 0.0000 0.8125 x3
Ru: 0.0017 0.5009 0.0630 x9
Ru: 0.1671 0.3341 0.8950 x9

Main lines, in order of falling intensity (5° ≤ 2θ ≤ 70°):
2θ/deg  intensity  h k l
39.61  100.0  1 0 10
33.60  62.1  1 1 0
39.67  33.2  2 0 2
64.13  24.0  2 1 10
41.50  24.0  0 2 4
60.13  17.8  3 0 0
64.20  16.0  3 0 6
41.36  8.0  0 0 12
59.95  6.0  1 0 16
63.97  2.7  0 0 18
20.39  2.4  0 1 2
10.13  2.0  0 0 3

---

Entry 9:
Starting from the PBE geometry in Alexandria, the X-ray diffraction stick pattern of Ag2Pb2I2F5 was calculated for Cu Kα.
No peak broadening, texture or thermal motion is included.

Crystal structure
Cell: 4.685 4.685 25.297 Å, 90.00 90.00 90.00°
Space group I4/mmm (No. 139)
Asymmetric unit:
Ag: 0.000 0.000 0.084 x4
Pb: 0.000 0.000 0.355 x4
I: 0.000 0.000 0.201 x4
F: 0.000 0.000 0.000 x2
F: 0.000 0.500 0.103 x8

Main lines, in order of falling intensity (5° ≤ 2θ ≤ 70°):
2θ/deg  intensity  h k l
31.26  100.0  1 0 7
26.92  80.4  1 1 0
50.34  53.0  2 1 7
14.00  52.6  0 0 4
38.43  44.8  2 0 0
6.99  26.3  0 0 2
43.86  25.3  1 0 11
59.71  20.0  2 1 11
30.46  16.0  1 1 4
62.72  15.3  3 1 0
41.09  15.1  2 0 4
55.48  14.9  2 2 0

---

Entry 10:
Starting from the PBE geometry in Alexandria, the X-ray diffraction stick pattern of AcGaSiAg2 was calculated for Cu Kα.
No peak broadening, texture or thermal motion is included.

Crystal structure
Cell: 4.286 4.464 11.511 Å, 90.00 90.00 90.00°
Space group Imm2 (No. 44)
Asymmetric unit:
Ac: 0.000 0.000 0.000 x2
Ga: 0.000 0.500 0.754 x2
Si: 0.000 0.000 0.392 x2
Ag: 0.000 0.000 0.615 x2
Ag: 0.000 0.500 0.272 x2

Main lines, in order of falling intensity (5° ≤ 2θ ≤ 70°):
2θ/deg  intensity  h k l
32.89  100.0  1 1 2
31.29  36.5  1 0 3
40.41  22.1  0 2 0
30.73  20.6  0 1 3
42.17  19.6  2 0 0
44.27  19.5  0 1 5
21.35  18.4  0 1 1
51.98  17.5  1 2 3
59.83  13.7  2 2 0
62.79  13.6  2 1 5
68.75  11.6  1 3 2
28.88  11.1  1 1 0